Theoretical powder X-ray diffraction pattern of Gd4Ga16Co3 for Cu Kα X-rays, from a GGA-PBE-relaxed structure.

Atomic structure:
```
data_Gd4Ga16Co3
_symmetry_space_group_name_H-M 'P 4/m m m'
_symmetry_Int_Tables_number 123
_symmetry_space_group_name_Hall '-P 4 2'
_cell_length_a 6.044
_cell_length_b 6.044
_cell_length_c 11.131
_cell_angle_alpha 90.00
_cell_angle_beta 90.00
_cell_angle_gamma 90.00
loop_
_atom_site_label
_atom_site_type_symbol
_atom_site_fract_x
_atom_site_fract_y
_atom_site_fract_z
Gd1 Gd 0.000 0.500 0.194
Ga1 Ga 0.000 0.000 0.197
Ga2 Ga 0.219 0.219 0.000
Ga3 Ga 0.250 0.250 0.384
Ga4 Ga 0.500 0.500 0.219
Co1 Co 0.000 0.500 0.500
Co2 Co 0.500 0.500 0.000
```

Most intense lines, 2θ from 5° to 70°, by angle:
| two_theta | Rel. int. | (hkl) |
| --- | --- | --- |
| 31.94 | 23 | 1 1 3 |
| 33.75 | 55 | 2 0 2 |
| 38.42 | 100 | 2 0 3 |
| 40.52 | 28 | 0 0 5 |
| 42.30 | 71 | 2 2 0 |
| 60.01 | 33 | 2 2 5 |

=====

Theoretical powder X-ray diffraction pattern of LaPmIr2 for Cu Kα X-rays, from a GGA-PBE-relaxed structure.

Atomic structure:
```
data_LaPmIr2
_symmetry_space_group_name_H-M 'F m -3 m'
_symmetry_Int_Tables_number 225
_symmetry_space_group_name_Hall '-F 4 2 3'
_cell_length_a 7.132
_cell_length_b 7.132
_cell_length_c 7.132
_cell_angle_alpha 90.00
_cell_angle_beta 90.00
_cell_angle_gamma 90.00
loop_
_atom_site_label
_atom_site_type_symbol
_atom_site_fract_x
_atom_site_fract_y
_atom_site_fract_z
La1 La 0.000 0.000 0.000
Pm1 Pm 0.000 0.000 0.500
Ir1 Ir 0.250 0.250 0.250
```

Most intense lines, 2θ from 5° to 70°, by angle:
| two_theta | Rel. int. | (hkl) |
| --- | --- | --- |
| 24.97 | 2 | 2 0 0 |
| 35.61 | 100 | 2 2 0 |
| 43.98 | 1 | 2 2 2 |
| 51.24 | 18 | 4 0 0 |
| 57.82 | 1 | 4 2 0 |
| 63.95 | 37 | 4 2 2 |

=====

Theoretical powder X-ray diffraction pattern of Tl3In5Se8 for Cu Kα X-rays, from a GGA-PBE-relaxed structure.

Atomic structure:
```
data_Tl3In5Se8
_symmetry_space_group_name_H-M 'P 4 2 2'
_symmetry_Int_Tables_number 89
_symmetry_space_group_name_Hall 'P 4 2'
_cell_length_a 8.258
_cell_length_b 8.258
_cell_length_c 6.963
_cell_angle_alpha 90.00
_cell_angle_beta 90.00
_cell_angle_gamma 90.00
loop_
_atom_site_label
_atom_site_type_symbol
_atom_site_fract_x
_atom_site_fract_y
_atom_site_fract_z
Tl1 Tl 0.000 0.000 0.000
Tl2 Tl 0.000 0.000 0.500
Tl3 Tl 0.500 0.500 0.000
In1 In 0.000 0.500 0.000
In2 In 0.000 0.500 0.500
In3 In 0.500 0.500 0.500
Se1 Se 0.172 0.329 0.750
```

Most intense lines, 2θ from 5° to 70°, by angle:
| two_theta | Rel. int. | (hkl) |
| --- | --- | --- |
| 21.52 | 44 | 2 0 0 |
| 27.34 | 33 | 2 1 1 |
| 30.62 | 52 | 2 2 0 |
| 33.67 | 100 | 2 0 2 |
| 40.32 | 25 | 2 2 2 |
| 51.46 | 26 | 4 0 2 |

=====

Theoretical powder X-ray diffraction pattern of Zr2N2O for Cu Kα X-rays, from a GGA-PBE-relaxed structure.

Atomic structure:
```
data_Zr2N2O
_symmetry_space_group_name_H-M 'P 1'
_symmetry_Int_Tables_number 1
_symmetry_space_group_name_Hall 'P 1'
_cell_length_a 8.862
_cell_length_b 8.876
_cell_length_c 8.881
_cell_angle_alpha 109.64
_cell_angle_beta 109.46
_cell_angle_gamma 109.25
loop_
_atom_site_label
_atom_site_type_symbol
_atom_site_fract_x
_atom_site_fract_y
_atom_site_fract_z
Zr1 Zr 0.000 0.000 0.000
Zr2 Zr 0.001 0.493 0.490
Zr3 Zr 0.041 0.248 0.786
Zr4 Zr 0.213 0.450 0.242
Zr5 Zr 0.255 0.215 0.464
Zr6 Zr 0.255 0.712 0.968
Zr7 Zr 0.294 0.024 0.745
Zr8 Zr 0.463 0.742 0.712
Zr9 Zr 0.498 0.488 0.997
Zr10 Zr 0.511 0.003 0.503
Zr11 Zr 0.539 0.244 0.291
Zr12 Zr 0.714 0.963 0.259
Zr13 Zr 0.751 0.775 0.534
Zr14 Zr 0.757 0.277 0.034
Zr15 Zr 0.777 0.529 0.743
Zr16 Zr 0.949 0.724 0.206
N1 N 0.015 0.542 0.275
N2 N 0.226 0.767 0.743
N3 N 0.243 0.460 0.512
N4 N 0.260 0.259 0.727
N5 N 0.272 0.225 0.220
N6 N 0.277 0.509 0.046
N7 N 0.455 0.953 0.226
N8 N 0.533 0.263 0.545
N9 N 0.541 0.024 0.766
N10 N 0.726 0.479 0.953
N11 N 0.729 0.757 0.776
N12 N 0.739 0.720 0.270
N13 N 0.762 0.526 0.488
N14 N 0.774 0.041 0.536
N15 N 0.777 0.217 0.259
N16 N 0.957 0.216 0.986
O1 O 0.035 0.980 0.761
O2 O 0.045 0.763 0.009
O3 O 0.225 0.944 0.461
O4 O 0.471 0.720 0.455
O5 O 0.488 0.253 0.032
O6 O 0.510 0.727 0.961
O7 O 0.969 0.999 0.233
O8 O 0.989 0.449 0.731
```

Most intense lines, 2θ from 5° to 70°, by angle:
| two_theta | Rel. int. | (hkl) |
| --- | --- | --- |
| 21.23 | 14 | 1 1 -2 |
| 30.21 | 100 | 1 -3 1 |
| 34.99 | 18 | 2 2 -2 |
| 50.34 | 31 | 0 4 0 |
| 59.78 | 11 | 1 5 -3 |
| 59.90 | 11 | -1 3 3 |

=====

Theoretical powder X-ray diffraction pattern of BaSiPd for Cu Kα X-rays, from a GGA-PBE-relaxed structure.

Atomic structure:
```
data_BaSiPd
_symmetry_space_group_name_H-M 'P 21 3'
_symmetry_Int_Tables_number 198
_symmetry_space_group_name_Hall 'P 2ac 2ab 3'
_cell_length_a 6.750
_cell_length_b 6.750
_cell_length_c 6.750
_cell_angle_alpha 90.00
_cell_angle_beta 90.00
_cell_angle_gamma 90.00
loop_
_atom_site_label
_atom_site_type_symbol
_atom_site_fract_x
_atom_site_fract_y
_atom_site_fract_z
Ba1 Ba 0.132 0.132 0.132
Si1 Si 0.156 0.344 0.656
Pd1 Pd 0.095 0.595 0.905
```

Most intense lines, 2θ from 5° to 70°, by angle:
| two_theta | Rel. int. | (hkl) |
| --- | --- | --- |
| 29.59 | 100 | 2 0 1 |
| 32.49 | 87 | 2 1 1 |
| 44.52 | 16 | 3 1 1 |
| 50.60 | 50 | 3 2 1 |
| 54.37 | 16 | 4 0 0 |
| 63.12 | 19 | 4 1 2 |

=====

Theoretical powder X-ray diffraction pattern of Sn3Ge for Cu Kα X-rays, from a GGA-PBE-relaxed structure.

Atomic structure:
```
data_Sn3Ge
_symmetry_space_group_name_H-M 'I 4/m m m'
_symmetry_Int_Tables_number 139
_symmetry_space_group_name_Hall '-I 4 2'
_cell_length_a 4.602
_cell_length_b 4.602
_cell_length_c 9.767
_cell_angle_alpha 90.00
_cell_angle_beta 90.00
_cell_angle_gamma 90.00
loop_
_atom_site_label
_atom_site_type_symbol
_atom_site_fract_x
_atom_site_fract_y
_atom_site_fract_z
Sn1 Sn 0.000 0.000 0.000
Sn2 Sn 0.000 0.500 0.250
Ge1 Ge 0.000 0.000 0.500
```

Most intense lines, 2θ from 5° to 70°, by angle:
| two_theta | Rel. int. | (hkl) |
| --- | --- | --- |
| 33.08 | 100 | 1 1 2 |
| 36.81 | 19 | 0 0 4 |
| 39.15 | 32 | 2 0 0 |
| 54.82 | 24 | 2 0 4 |
| 63.95 | 16 | 1 1 6 |
| 67.12 | 27 | 3 1 2 |

=====

Theoretical powder X-ray diffraction pattern of NaEuZrTiO6 for Cu Kα X-rays, from a GGA-PBE-relaxed structure.

Atomic structure:
```
data_NaEuZrTiO6
_symmetry_space_group_name_H-M 'F -4 3 m'
_symmetry_Int_Tables_number 216
_symmetry_space_group_name_Hall 'F -4 2 3'
_cell_length_a 8.070
_cell_length_b 8.070
_cell_length_c 8.070
_cell_angle_alpha 90.00
_cell_angle_beta 90.00
_cell_angle_gamma 90.00
loop_
_atom_site_label
_atom_site_type_symbol
_atom_site_fract_x
_atom_site_fract_y
_atom_site_fract_z
Na1 Na 0.000 0.000 0.000
Eu1 Eu 0.000 0.000 0.500
Zr1 Zr 0.250 0.250 0.750
Ti1 Ti 0.250 0.250 0.250
O1 O 0.008 0.250 0.250
```

Most intense lines, 2θ from 5° to 70°, by angle:
| two_theta | Rel. int. | (hkl) |
| --- | --- | --- |
| 19.05 | 49 | 1 1 1 |
| 31.35 | 100 | 2 2 0 |
| 36.95 | 30 | 3 1 1 |
| 44.93 | 38 | 4 0 0 |
| 55.81 | 39 | 4 2 2 |
| 65.42 | 22 | 4 4 0 |